Diffraction record for KPaCrN3. The powder diffraction line list is theoretical, not measured: it uses a cell relaxed with GGA-PBE and a wavelength of 1.5418 Å.

Main lines, by intensity (2θ = 15–90°):
Position (°2θ)	Rel. int.	h k l
31.8	100	4 0 -2
33.3	80	1 1 -2
30.3	41	2 0 2
26.8	28	1 1 -1
58.5	24	2 2 2
35.8	21	3 1 1

Atomic structure:
Unit cell a=13.2333 b=3.7369 c=7.7815 alpha=90.00 beta=104.33 gamma=90.00
Space group C2/m (No. 12)
Asymmetric unit:
K1 0.1401 0.0000 0.0614 (multiplicity 4)
Pa1 0.1521 0.0000 0.5791 (multiplicity 4)
Cr1 0.0062 0.5000 0.3065 (multiplicity 4)
N1 0.0081 0.0000 0.3153 (multiplicity 4)
N2 0.1465 0.5000 0.7522 (multiplicity 4)
N3 0.1679 0.5000 0.3968 (multiplicity 4)

---

Diffraction record for NdCu6Ni6. The powder diffraction line list is theoretical, not measured: it uses a cell relaxed with GGA-PBE and a wavelength of 1.5418 Å.

Main lines, by intensity (2θ = 15–90°):
Position (°2θ)	Rel. int.	h k l
43.3	100	0 0 4
43.5	64	2 0 2
43.3	44	1 3 2
37.3	43	1 3 0
48.9	33	2 2 2
48.7	20	0 4 2

Atomic structure:
Unit cell a=4.7900 b=8.3659 c=8.3756 alpha=90.00 beta=90.00 gamma=90.00
Space group Immm (No. 71)
Asymmetric unit:
Nd1 0.0000 0.0000 0.0000 (multiplicity 2)
Cu1 0.0000 0.0000 0.3521 (multiplicity 4)
Cu2 0.0000 0.2766 0.5000 (multiplicity 4)
Cu3 0.0000 0.3555 0.0000 (multiplicity 4)
Ni1 0.0000 0.5000 0.2731 (multiplicity 4)
Ni2 0.2500 0.2500 0.2500 (multiplicity 8)

---

Diffraction record for Ac4In12Cu. The powder diffraction line list is theoretical, not measured: it uses a cell relaxed with GGA-PBE and a wavelength of 1.5418 Å.

Main lines, by intensity (2θ = 15–90°):
Position (°2θ)	Rel. int.	h k l
31.3	100	2 2 2
36.3	56	4 0 0
52.3	37	4 4 0
62.3	36	6 2 2
25.5	15	2 2 0
88.4	14	8 4 0

Atomic structure:
Unit cell a=9.8883 b=9.8883 c=9.8883 alpha=90.00 beta=90.00 gamma=90.00
Space group Im-3m (No. 229)
Asymmetric unit:
Ac1 0.2500 0.2500 0.2500 (multiplicity 8)
In1 0.0000 0.0000 0.2836 (multiplicity 12)
In2 0.0000 0.2500 0.5000 (multiplicity 12)
Cu1 0.0000 0.0000 0.0000 (multiplicity 2)

---

Diffraction record for ZrAl5Si2. The powder diffraction line list is theoretical, not measured: it uses a cell relaxed with GGA-PBE and a wavelength of 1.5418 Å.

Main lines, by intensity (2θ = 15–90°):
Position (°2θ)	Rel. int.	h k l
37.6	100	0 0 2
39.9	95	0 4 1
41.6	70	2 2 1
36.9	43	2 2 0
18.2	35	1 1 0
26.1	34	1 1 1

Atomic structure:
Unit cell a=5.5315 b=10.2508 c=4.7805 alpha=90.00 beta=90.00 gamma=90.00
Space group Pbam (No. 55)
Asymmetric unit:
Zr1 0.0000 0.0000 0.0000 (multiplicity 2)
Al1 0.0000 0.5000 0.0000 (multiplicity 2)
Al2 0.2363 0.3772 0.5000 (multiplicity 4)
Al3 0.2454 0.7469 0.0000 (multiplicity 4)
Si1 0.2459 0.1223 0.5000 (multiplicity 4)

---

Diffraction record for PmCd3Pt3. The powder diffraction line list is theoretical, not measured: it uses a cell relaxed with GGA-PBE and a wavelength of 1.5418 Å.

Main lines, by intensity (2θ = 15–90°):
Position (°2θ)	Rel. int.	h k l
29.9	100	2 1 1
46.5	60	3 2 1
24.4	42	2 0 0
42.9	36	2 2 2
49.9	33	4 0 0
17.2	23	1 1 0

Atomic structure:
Unit cell a=7.3101 b=7.3101 c=7.3101 alpha=90.00 beta=90.00 gamma=90.00
Space group Pm-3n (No. 223)
Asymmetric unit:
Pm1 0.0000 0.0000 0.0000 (multiplicity 2)
Cd1 0.0000 0.2500 0.5000 (multiplicity 6)
Pt1 0.0000 0.5000 0.2500 (multiplicity 6)

---

Diffraction record for SrCdCoH6. The powder diffraction line list is theoretical, not measured: it uses a cell relaxed with GGA-PBE and a wavelength of 1.5418 Å.

Main lines, by intensity (2θ = 15–90°):
Position (°2θ)	Rel. int.	h k l
29.2	100	1 0 1
37.8	52	1 1 0
55.7	33	1 1 2
48.4	24	2 0 1
63.0	21	2 1 1
39.4	15	0 0 2

Atomic structure:
Unit cell a=4.7622 b=4.7622 c=4.5713 alpha=90.00 beta=90.00 gamma=120.00
Space group P-6m2 (No. 187)
Asymmetric unit:
Sr1 0.0000 0.0000 0.0000 (multiplicity 1)
Cd1 0.3333 0.6667 0.5000 (multiplicity 1)
Co1 0.6667 0.3333 0.5000 (multiplicity 1)
H1 0.5326 0.0651 0.2509 (multiplicity 6)

---

Diffraction record for Li3Mg4. The powder diffraction line list is theoretical, not measured: it uses a cell relaxed with GGA-PBE and a wavelength of 1.5418 Å.

Main lines, by intensity (2θ = 15–90°):
Position (°2θ)	Rel. int.	h k l
36.0	100	1 1 -2
36.3	93	3 1 1
25.2	49	1 1 -1
37.8	45	0 2 0
38.3	42	4 0 -1
32.7	36	3 1 0

Atomic structure:
Unit cell a=10.0607 b=4.7590 c=6.0612 alpha=90.00 beta=91.89 gamma=90.00
Space group C2/m (No. 12)
Asymmetric unit:
Li1 0.0000 0.0000 0.0000 (multiplicity 2)
Li2 0.2291 0.5000 0.8660 (multiplicity 4)
Mg1 0.0598 0.5000 0.2626 (multiplicity 4)
Mg2 0.1462 0.0000 0.5825 (multiplicity 4)

---

Diffraction record for Cu3Pd5Au4. The powder diffraction line list is theoretical, not measured: it uses a cell relaxed with GGA-PBE and a wavelength of 1.5418 Å.

Main lines, by intensity (2θ = 15–90°):
Position (°2θ)	Rel. int.	h k l
41.4	100	3 1 1
37.8	89	0 2 0
41.3	87	3 1 -3
70.7	48	3 3 1
32.2	40	0 0 4
28.6	40	2 0 -3

Atomic structure:
Unit cell a=8.2264 b=4.7588 c=11.4679 alpha=90.00 beta=104.11 gamma=90.00
Space group C2/m (No. 12)
Asymmetric unit:
Cu1 0.0000 0.0000 0.0000 (multiplicity 2)
Cu2 0.0199 0.5000 0.7926 (multiplicity 4)
Pd1 0.0000 0.5000 0.0000 (multiplicity 2)
Pd2 0.1173 0.5000 0.6051 (multiplicity 4)
Pd3 0.2236 0.5000 0.3931 (multiplicity 4)
Au1 0.0477 0.0000 0.3707 (multiplicity 4)
Au2 0.1945 0.0000 0.8471 (multiplicity 4)

---

Diffraction record for Ag2BiCl8. The powder diffraction line list is theoretical, not measured: it uses a cell relaxed with GGA-PBE and a wavelength of 1.5418 Å.

Main lines, by intensity (2θ = 15–90°):
Position (°2θ)	Rel. int.	h k l
23.2	100	1 1 2
39.2	51	2 0 4
43.8	42	3 1 2
29.7	34	2 1 1
36.3	26	2 1 3
36.6	25	2 2 0

Atomic structure:
Unit cell a=6.9381 b=6.9381 c=12.2671 alpha=90.00 beta=90.00 gamma=90.00
Space group I422 (No. 97)
Asymmetric unit:
Ag1 0.0000 0.5000 0.2500 (multiplicity 4)
Bi1 0.0000 0.0000 0.0000 (multiplicity 2)
Cl1 0.1740 0.3159 0.8858 (multiplicity 16)

---

Diffraction record for BaMg6Cd12. The powder diffraction line list is theoretical, not measured: it uses a cell relaxed with GGA-PBE and a wavelength of 1.5418 Å.

Main lines, by intensity (2θ = 15–90°):
Position (°2θ)	Rel. int.	h k l
30.4	100	1 3 1
29.5	54	1 1 3
44.6	38	5 0 2
35.7	35	0 3 3
19.0	29	0 1 2
38.5	22	0 2 4

Atomic structure:
Unit cell a=12.7586 b=12.7586 c=10.3354 alpha=90.00 beta=90.00 gamma=120.00
Space group R-3m (No. 166, hexagonal axes)
Asymmetric unit:
Ba1 0.0000 0.0000 0.0000 (multiplicity 3)
Mg1 0.0585 0.5293 0.2365 (multiplicity 18)
Cd1 0.0000 0.3892 0.5000 (multiplicity 18)
Cd2 0.0848 0.1697 0.2964 (multiplicity 18)

---

Diffraction record for KNaF2. The powder diffraction line list is theoretical, not measured: it uses a cell relaxed with GGA-PBE and a wavelength of 1.5418 Å.

Main lines, by intensity (2θ = 15–90°):
Position (°2θ)	Rel. int.	h k l
38.6	100	0 1 5
52.4	46	1 1 0
45.9	35	1 0 7
29.9	34	1 0 1
31.1	33	0 1 2
35.6	28	1 0 4

Atomic structure:
Unit cell a=3.4936 b=3.4936 c=18.2730 alpha=90.00 beta=90.00 gamma=120.00
Space group R3m (No. 160, hexagonal axes)
Asymmetric unit:
K1 0.0000 0.0000 0.0000 (multiplicity 3)
Na1 0.0000 0.0000 0.8295 (multiplicity 3)
F1 0.0000 0.0000 0.2376 (multiplicity 3)
F2 0.0000 0.0000 0.4251 (multiplicity 3)

---

Diffraction record for La6Tl5Au. The powder diffraction line list is theoretical, not measured: it uses a cell relaxed with GGA-PBE and a wavelength of 1.5418 Å.

Main lines, by intensity (2θ = 15–90°):
Position (°2θ)	Rel. int.	h k l
32.0	100	1 2 1
57.0	31	2 4 -1
32.1	20	2 0 -1
57.1	16	3 2 0
45.9	15	2 0 2
66.9	12	2 4 2

Atomic structure:
Unit cell a=5.5768 b=7.9284 c=8.8415 alpha=90.00 beta=108.27 gamma=90.00
Space group P2/m (No. 10)
Asymmetric unit:
La1 0.0000 0.2398 0.0000 (multiplicity 2)
La2 0.3391 0.2448 0.6782 (multiplicity 4)
Tl1 0.1693 0.0000 0.3390 (multiplicity 2)
Tl2 0.1696 0.5000 0.3397 (multiplicity 2)
Tl3 0.5000 0.5000 0.0000 (multiplicity 1)
Au1 0.5000 0.0000 0.0000 (multiplicity 1)

---

Diffraction record for Pm6S5Cl. The powder diffraction line list is theoretical, not measured: it uses a cell relaxed with GGA-PBE and a wavelength of 1.5418 Å.

Main lines, by intensity (2θ = 15–90°):
Position (°2θ)	Rel. int.	h k l
31.3	100	2 0 -2
27.0	56	0 0 2
44.8	35	3 3 -1
44.9	35	1 3 -3
53.2	20	2 0 -4
26.9	19	2 0 0

Atomic structure:
Unit cell a=7.0150 b=12.0949 c=6.9985 alpha=90.00 beta=109.35 gamma=90.00
Space group C2/m (No. 12)
Asymmetric unit:
Pm1 0.2364 0.0000 0.2587 (multiplicity 4)
Pm2 0.2376 0.1746 0.7370 (multiplicity 8)
S1 0.0000 0.0000 0.5000 (multiplicity 2)
S2 0.0000 0.1678 0.0000 (multiplicity 4)
S3 0.0000 0.3394 0.5000 (multiplicity 4)
Cl1 0.0000 0.5000 0.0000 (multiplicity 2)